Diffraction record for ErIn3. The X-ray powder pattern is simulated, not measured: it uses the GGA-PBE geometry in the Materials Project and copper Kα.

Principal peaks in the range 2θ = 10–90°, in order of rising 2θ:
index  d (Å)  Position (°2θ)  Rel. int.
1 0 0  4.634  19.15  3
1 1 0  3.277  27.21  2
1 1 1  2.676  33.49  100
2 0 0  2.317  38.86  50
2 1 0  2.073  43.67  1
2 1 1  1.892  48.09  1
2 2 0  1.639  56.13  33
3 1 1  1.397  66.97  39
2 2 2  1.338  70.37  11
4 0 0  1.159  83.42  5

Cell: 4.6344 4.6344 4.6344 Å, 90.00 90.00 90.00°
Fractional coordinates of all 4 atoms:
Er 0.0000 0.0000 0.0000
In 0.0000 0.5000 0.5000
In 0.5000 0.0000 0.5000
In 0.5000 0.5000 0.0000